[1]
Diffraction record for Dy5Zn2Ga2. The powder diffractogram is theoretical, not measured: it uses a DFT-relaxed cell (PBE, Alexandria) and Cu Kα (λ = 1.5418 Å).
Peak positions follow from Bragg's law for the DFT cell and can differ from measured ones.

Structure:
```
data_Dy5Zn2Ga2
_chemical_formula_sum 'Dy20 Zn8 Ga8'
_symmetry_space_group_name_H-M 'C m c e'
_symmetry_Int_Tables_number 64
_symmetry_space_group_name_Hall '-C 2ac 2'
_cell_length_a 15.7369
_cell_length_b 8.1180
_cell_length_c 7.0444
_cell_angle_alpha 90.00
_cell_angle_beta 90.00
_cell_angle_gamma 90.00
loop_
_atom_site_label
_atom_site_type_symbol
_atom_site_fract_x
_atom_site_fract_y
_atom_site_fract_z
_atom_site_occupancy
Dy1 Dy 0.0000 0.0000 0.0000 1
Dy2 Dy 0.1435 0.1862 0.3370 1
Zn1 Zn 0.0000 0.1286 0.6098 1
Ga1 Ga 0.2079 0.0000 0.0000 1
```

The 12 most intense peaks (2θ from 10° to 90°), in order of rising 2θ:
2θ/deg  I_rel  hkl
25.3  22  0 2 1
27.8  15  2 2 1
28.2  18  1 1 2
31.7  52  4 2 0
32.5  82  3 1 2
33.7  29  0 2 2
34.2  100  6 0 0
36.0  42  1 3 1
40.4  22  1 1 3
46.1  20  8 0 0
52.4  16  4 4 1
54.6  27  3 3 3

[2]
Diffraction record for DyZrGa2. The powder diffractogram is theoretical, not measured: it uses a DFT-relaxed cell (PBE, Alexandria) and Cu Kα (λ = 1.5418 Å).
Peak positions follow from Bragg's law for the DFT cell and can differ from measured ones.

Structure:
```
data_DyZrGa2
_chemical_formula_sum 'Dy2 Zr2 Ga4'
_symmetry_space_group_name_H-M 'P m c 21'
_symmetry_Int_Tables_number 26
_cell_length_a 3.9303
_cell_length_b 5.6836
_cell_length_c 7.7240
_cell_angle_alpha 90.00
_cell_angle_beta 90.00
_cell_angle_gamma 90.00
loop_
_symmetry_equiv_pos_as_xyz
'x,y,z'
'-x,-y,z+1/2'
'-x,y,z'
'x,-y,z+1/2'
loop_
_atom_site_label
_atom_site_type_symbol
_atom_site_fract_x
_atom_site_fract_y
_atom_site_fract_z
_atom_site_occupancy
Dy1 Dy 0.0000 0.1277 0.0000 1
Zr1 Zr 0.5000 0.3719 0.6420 1
Ga1 Ga 0.0000 0.3972 0.3625 1
Ga2 Ga 0.5000 0.1229 0.2834 1
```

The 12 most intense peaks (2θ from 10° to 90°), in order of rising 2θ:
2θ/deg  I_rel  hkl
30.0  70  1 1 1
32.5  100  1 0 2
33.6  88  0 2 1
36.2  90  1 1 2
38.4  53  0 1 3
40.9  95  1 2 1
46.2  41  2 0 0
49.9  28  0 1 4
58.3  35  2 2 1
61.6  26  2 1 3
65.7  19  0 4 0
70.3  20  2 1 4

[3]
Diffraction record for DyZr2Ga. The powder diffractogram is theoretical, not measured: it uses a DFT-relaxed cell (PBE, Alexandria) and Cu Kα (λ = 1.5418 Å).
Peak positions follow from Bragg's law for the DFT cell and can differ from measured ones.

Structure:
```
data_DyZr2Ga
_chemical_formula_sum 'Dy2 Zr4 Ga2'
_symmetry_space_group_name_H-M 'P 1 21/m 1'
_symmetry_Int_Tables_number 11
_cell_length_a 4.3422
_cell_length_b 4.2379
_cell_length_c 10.5229
_cell_angle_alpha 90.00
_cell_angle_beta 101.88
_cell_angle_gamma 90.00
loop_
_symmetry_equiv_pos_as_xyz
'x,y,z'
'-x,-y,-z'
'-x,y+1/2,-z'
'x,-y+1/2,z'
loop_
_atom_site_label
_atom_site_type_symbol
_atom_site_fract_x
_atom_site_fract_y
_atom_site_fract_z
_atom_site_occupancy
Dy1 Dy 0.1935 0.2500 0.3884 1
Zr1 Zr 0.0588 0.7500 0.1179 1
Zr2 Zr 0.4437 0.7500 0.8872 1
Ga1 Ga 0.3417 0.2500 0.6821 1
```

The 12 most intense peaks (2θ from 10° to 90°), in order of rising 2θ:
2θ/deg  I_rel  hkl
29.8  44  1 1 -1
29.9  17  1 0 2
32.3  92  1 1 -2
33.6  20  0 1 3
34.8  40  0 0 4
36.8  100  1 1 2
41.6  37  2 0 -1
42.7  34  0 2 0
55.4  21  2 0 3
56.2  20  0 2 4
61.1  23  2 2 -1
72.3  21  2 2 3

[4]
Diffraction record for GdDy5. The powder diffractogram is theoretical, not measured: it uses a DFT-relaxed cell (PBE, Alexandria) and Cu Kα (λ = 1.5418 Å).
Peak positions follow from Bragg's law for the DFT cell and can differ from measured ones.

Structure:
```
data_GdDy5
_chemical_formula_sum 'Gd2 Dy10'
_symmetry_space_group_name_H-M 'C m m m'
_symmetry_Int_Tables_number 65
_symmetry_space_group_name_Hall '-C 2 2'
_cell_length_a 5.0152
_cell_length_b 15.0555
_cell_length_c 5.0198
_cell_angle_alpha 90.00
_cell_angle_beta 90.00
_cell_angle_gamma 90.00
loop_
_atom_site_label
_atom_site_type_symbol
_atom_site_fract_x
_atom_site_fract_y
_atom_site_fract_z
_atom_site_occupancy
Gd1 Gd 0.0000 0.0000 0.0000 1
Dy1 Dy 0.0000 0.1668 0.5000 1
Dy2 Dy 0.0000 0.3324 0.0000 1
Dy3 Dy 0.0000 0.5000 0.5000 1
```

The 8 most intense peaks (2θ from 10° to 90°), in order of rising 2θ:
2θ/deg  I_rel  hkl
30.9  100  1 3 1
35.8  51  2 0 0
51.5  36  2 6 0
61.3  43  3 3 1
64.3  12  2 6 2
75.8  6  4 0 0
84.1  18  3 9 1
86.8  17  4 6 0

[5]
Diffraction record for Gd5Dy. The powder diffractogram is theoretical, not measured: it uses a DFT-relaxed cell (PBE, Alexandria) and Cu Kα (λ = 1.5418 Å).
Peak positions follow from Bragg's law for the DFT cell and can differ from measured ones.

Structure:
```
data_Gd5Dy
_chemical_formula_sum 'Gd10 Dy2'
_symmetry_space_group_name_H-M 'C m m m'
_symmetry_Int_Tables_number 65
_symmetry_space_group_name_Hall '-C 2 2'
_cell_length_a 5.0606
_cell_length_b 15.0796
_cell_length_c 5.0782
_cell_angle_alpha 90.00
_cell_angle_beta 90.00
_cell_angle_gamma 90.00
loop_
_atom_site_label
_atom_site_type_symbol
_atom_site_fract_x
_atom_site_fract_y
_atom_site_fract_z
_atom_site_occupancy
Gd1 Gd 0.0000 0.0000 0.0000 1
Gd2 Gd 0.0000 0.1656 0.5000 1
Gd3 Gd 0.0000 0.3341 0.0000 1
Dy1 Dy 0.0000 0.5000 0.5000 1
```

The 12 most intense peaks (2θ from 10° to 90°), in order of rising 2θ:
2θ/deg  I_rel  hkl
30.6  100  1 3 1
35.4  17  0 0 2
35.5  17  2 0 0
35.7  17  0 6 0
51.0  12  2 0 2
51.2  24  2 6 0
60.5  14  1 3 3
60.7  14  3 3 1
61.0  14  1 9 1
63.8  12  2 6 2
83.1  6  3 3 3
83.4  6  1 9 3

[6]
Diffraction record for Gd2Dy. The powder diffractogram is theoretical, not measured: it uses a DFT-relaxed cell (PBE, Alexandria) and Cu Kα (λ = 1.5418 Å).
Peak positions follow from Bragg's law for the DFT cell and can differ from measured ones.

Structure:
```
data_Gd2Dy
_chemical_formula_sum 'Gd4 Dy2'
_symmetry_space_group_name_H-M 'I 4/m m m'
_symmetry_Int_Tables_number 139
_symmetry_space_group_name_Hall '-I 4 2'
_cell_length_a 4.1434
_cell_length_b 4.1434
_cell_length_c 11.3214
_cell_angle_alpha 90.00
_cell_angle_beta 90.00
_cell_angle_gamma 90.00
loop_
_atom_site_label
_atom_site_type_symbol
_atom_site_fract_x
_atom_site_fract_y
_atom_site_fract_z
_atom_site_occupancy
Gd1 Gd 0.0000 0.0000 0.1657 1
Dy1 Dy 0.0000 0.0000 0.5000 1
```

The 12 most intense peaks (2θ from 10° to 90°), in order of rising 2θ:
2θ/deg  I_rel  hkl
30.5  57  1 1 0
32.1  100  1 0 3
43.7  21  2 0 0
48.2  8  0 0 6
55.2  43  2 1 3
58.2  18  1 1 6
63.5  7  2 2 0
67.1  12  2 0 6
72.1  10  3 1 0
72.9  9  3 0 3
79.7  7  1 0 9
89.1  12  3 2 3

[7]
Diffraction record for LiGdDy. The powder diffractogram is theoretical, not measured: it uses a DFT-relaxed cell (PBE, Alexandria) and Cu Kα (λ = 1.5418 Å).
Peak positions follow from Bragg's law for the DFT cell and can differ from measured ones.

Structure:
```
data_LiGdDy
_chemical_formula_sum 'Li1 Gd1 Dy1'
_symmetry_space_group_name_H-M 'P 3 m 1'
_symmetry_Int_Tables_number 156
_cell_length_a 3.4831
_cell_length_b 3.4831
_cell_length_c 8.3422
_cell_angle_alpha 90.00
_cell_angle_beta 90.00
_cell_angle_gamma 120.00
loop_
_symmetry_equiv_pos_as_xyz
'x,y,z'
'-y,x-y,z'
'-x+y,-x,z'
'-y,-x,z'
'-x+y,y,z'
'x,x-y,z'
loop_
_atom_site_label
_atom_site_type_symbol
_atom_site_fract_x
_atom_site_fract_y
_atom_site_fract_z
_atom_site_occupancy
Li1 Li 0.0000 0.0000 0.0000 1
Gd1 Gd 0.6667 0.3333 0.3332 1
Dy1 Dy 0.3333 0.6667 0.6720 1
```

The 12 most intense peaks (2θ from 10° to 90°), in order of rising 2θ:
2θ/deg  I_rel  hkl
10.6  71  0 0 1
21.3  18  0 0 2
29.6  22  1 0 0
31.5  100  1 0 1
32.2  25  0 0 3
36.8  64  0 1 2
44.3  14  1 0 3
52.5  19  1 1 0
53.4  24  1 0 4
62.6  14  0 2 1
63.0  22  1 1 3
63.7  12  0 1 5

[8]
Diffraction record for Gd3DyO. The powder diffractogram is theoretical, not measured: it uses a DFT-relaxed cell (PBE, Alexandria) and Cu Kα (λ = 1.5418 Å).
Peak positions follow from Bragg's law for the DFT cell and can differ from measured ones.

Structure:
```
data_Gd3DyO
_chemical_formula_sum 'Gd3 Dy1 O1'
_symmetry_space_group_name_H-M 'P m -3 m'
_symmetry_Int_Tables_number 221
_symmetry_space_group_name_Hall '-P 4 2 3'
_cell_length_a 4.9914
_cell_length_b 4.9914
_cell_length_c 4.9914
_cell_angle_alpha 90.00
_cell_angle_beta 90.00
_cell_angle_gamma 90.00
loop_
_atom_site_label
_atom_site_type_symbol
_atom_site_fract_x
_atom_site_fract_y
_atom_site_fract_z
_atom_site_occupancy
Gd1 Gd 0.0000 0.0000 0.5000 1
Dy1 Dy 0.5000 0.5000 0.5000 1
O1 O 0.0000 0.0000 0.0000 1
```

The 8 most intense peaks (2θ from 10° to 90°), in order of rising 2θ:
2θ/deg  I_rel  hkl
31.0  100  1 1 1
36.0  56  2 0 0
51.8  40  2 2 0
61.6  43  3 1 1
64.7  13  2 2 2
76.3  6  4 0 0
84.6  18  3 3 1
87.4  18  4 2 0

[9]
Diffraction record for Dy3Ge4. The powder diffractogram is theoretical, not measured: it uses a DFT-relaxed cell (PBE, Alexandria) and Cu Kα (λ = 1.5418 Å).
Peak positions follow from Bragg's law for the DFT cell and can differ from measured ones.

Structure:
```
data_Dy3Ge4
_chemical_formula_sum 'Dy6 Ge8'
_symmetry_space_group_name_H-M 'P 1 21/m 1'
_symmetry_Int_Tables_number 11
_cell_length_a 4.0705
_cell_length_b 14.2953
_cell_length_c 5.7212
_cell_angle_alpha 90.00
_cell_angle_beta 110.81
_cell_angle_gamma 90.00
loop_
_symmetry_equiv_pos_as_xyz
'x,y,z'
'-x,-y,-z'
'-x,y+1/2,-z'
'x,-y+1/2,z'
loop_
_atom_site_label
_atom_site_type_symbol
_atom_site_fract_x
_atom_site_fract_y
_atom_site_fract_z
_atom_site_occupancy
Dy1 Dy 0.0444 0.2500 0.0877 1
Dy2 Dy 0.3293 0.0970 0.6578 1
Ge1 Ge 0.0000 0.0000 0.0000 1
Ge2 Ge 0.2267 0.7500 0.4554 1
Ge3 Ge 0.3816 0.6085 0.7637 1
```

The 12 most intense peaks (2θ from 10° to 90°), in order of rising 2θ:
2θ/deg  I_rel  hkl
25.0  19  0 3 1
26.5  25  1 2 0
30.1  54  0 4 1
33.4  82  1 0 -2
34.1  33  0 1 2
34.4  100  1 4 0
37.8  26  0 6 0
38.5  38  1 3 -2
42.2  35  0 4 2
44.5  36  2 0 -1
51.3  20  1 6 -2
74.8  19  3 0 -3

[10]
Diffraction record for Dy5Ge6. The powder diffractogram is theoretical, not measured: it uses a DFT-relaxed cell (PBE, Alexandria) and Cu Kα (λ = 1.5418 Å).
Peak positions follow from Bragg's law for the DFT cell and can differ from measured ones.

Structure:
```
data_Dy5Ge6
_chemical_formula_sum 'Dy10 Ge12'
_symmetry_space_group_name_H-M 'C m m m'
_symmetry_Int_Tables_number 65
_symmetry_space_group_name_Hall '-C 2 2'
_cell_length_a 3.9949
_cell_length_b 29.1649
_cell_length_c 4.2428
_cell_angle_alpha 90.00
_cell_angle_beta 90.00
_cell_angle_gamma 90.00
loop_
_atom_site_label
_atom_site_type_symbol
_atom_site_fract_x
_atom_site_fract_y
_atom_site_fract_z
_atom_site_occupancy
Dy1 Dy 0.0000 0.0000 0.0000 1
Dy2 Dy 0.0000 0.1995 0.5000 1
Dy3 Dy 0.0000 0.3852 0.0000 1
Ge1 Ge 0.0000 0.1007 0.5000 1
Ge2 Ge 0.0000 0.2816 0.0000 1
Ge3 Ge 0.0000 0.4579 0.5000 1
```

The 12 most intense peaks (2θ from 10° to 90°), in order of rising 2θ:
2θ/deg  I_rel  hkl
27.1  22  1 5 0
30.7  23  0 10 0
32.1  100  1 3 1
32.4  37  0 8 1
37.7  19  1 7 1
40.8  17  1 11 0
41.7  27  1 9 1
42.6  26  0 0 2
45.4  21  2 0 0
51.4  13  1 13 1
56.9  15  2 8 1
64.0  15  2 0 2

[11]
Diffraction record for Dy3Ge5. The powder diffractogram is theoretical, not measured: it uses a DFT-relaxed cell (PBE, Alexandria) and Cu Kα (λ = 1.5418 Å).
Peak positions follow from Bragg's law for the DFT cell and can differ from measured ones.

Structure:
```
data_Dy3Ge5
_chemical_formula_sum 'Dy6 Ge10'
_symmetry_space_group_name_H-M 'P -6 2 c'
_symmetry_Int_Tables_number 190
_symmetry_space_group_name_Hall 'P -6c -2c'
_cell_length_a 6.9157
_cell_length_b 6.9157
_cell_length_c 8.3397
_cell_angle_alpha 90.00
_cell_angle_beta 90.00
_cell_angle_gamma 120.00
loop_
_atom_site_label
_atom_site_type_symbol
_atom_site_fract_x
_atom_site_fract_y
_atom_site_fract_z
_atom_site_occupancy
Dy1 Dy 0.0000 0.3319 0.0000 1
Ge1 Ge 0.0000 0.0000 0.2500 1
Ge2 Ge 0.0741 0.6696 0.2500 1
Ge3 Ge 0.3333 0.6667 0.7500 1
```

The 12 most intense peaks (2θ from 10° to 90°), in order of rising 2θ:
2θ/deg  I_rel  hkl
25.8  22  1 1 0
33.7  100  1 1 2
41.3  8  2 1 1
43.4  14  0 0 4
45.4  28  3 0 0
51.2  7  1 1 4
53.0  6  2 2 0
57.7  15  2 2 2
64.6  19  3 0 4
73.4  10  1 1 6
76.4  17  4 1 2
88.2  5  4 1 4

[12]
Diffraction record for Dy2GeH. The powder diffractogram is theoretical, not measured: it uses a DFT-relaxed cell (PBE, Alexandria) and Cu Kα (λ = 1.5418 Å).
Peak positions follow from Bragg's law for the DFT cell and can differ from measured ones.

Structure:
```
data_Dy2GeH
_chemical_formula_sum 'Dy8 Ge4 H4'
_symmetry_space_group_name_H-M 'F 2 2 2'
_symmetry_Int_Tables_number 22
_symmetry_space_group_name_Hall 'F 2 2'
_cell_length_a 5.1381
_cell_length_b 5.1976
_cell_length_c 11.8660
_cell_angle_alpha 90.00
_cell_angle_beta 90.00
_cell_angle_gamma 90.00
loop_
_atom_site_label
_atom_site_type_symbol
_atom_site_fract_x
_atom_site_fract_y
_atom_site_fract_z
_atom_site_occupancy
Dy1 Dy 0.0000 0.0000 0.1450 1
Ge1 Ge 0.0000 0.0000 0.5000 1
H1 H 0.2500 0.2500 0.7500 1
```

The 12 most intense peaks (2θ from 10° to 90°), in order of rising 2θ:
2θ/deg  I_rel  hkl
25.5  21  1 1 1
30.1  10  0 0 4
33.4  100  1 1 3
34.5  26  0 2 0
34.9  25  2 0 0
49.9  19  2 2 0
60.2  8  1 1 7
61.1  18  1 3 3
61.7  17  3 1 3
70.1  9  2 2 6
82.9  7  3 3 3
84.1  7  4 2 0